Record 1
The following is a computed powder XRD pattern of Hg2IF. It was derived from a DFT-relaxed cell (GGA-PBE, OQMD), using Cu Kα, 1.54184 Å.
Kinematic intensities with the Lorentz-polarization factor, no thermal factor.

Top 6 peaks for 5° ≤ 2θ ≤ 70°, by angle:
- d = 4.326 Å, rel. 53.9
- d = 3.334 Å, rel. 100.0
- d = 2.715 Å, rel. 26.9
- d = 2.358 Å, rel. 39.4
- d = 2.106 Å, rel. 52.4
- d = 1.780 Å, rel. 31.3

Atomic structure:
Cell lengths 6.373, 6.373, 6.373 Å; angles 136.57, 136.57, 63.10 degrees
Sites, in units of the cell vectors:
Hg 0.000 0.000 0.000
Hg 0.240 0.240 0.000
I 0.749 0.749 0.000
F 0.437 0.437 0.000

Record 2
The following is a computed powder XRD pattern of KHgF3. It was derived from a DFT-relaxed cell (GGA-PBE, OQMD), using Cu Kα, 1.54184 Å.
Kinematic intensities with the Lorentz-polarization factor, no thermal factor.

Top 6 peaks for 5° ≤ 2θ ≤ 70°, by angle:
- d = 6.276 Å, rel. 44.3
- d = 3.418 Å, rel. 100.0
- d = 3.091 Å, rel. 26.0
- d = 2.708 Å, rel. 28.8
- d = 2.050 Å, rel. 54.3
- d = 1.717 Å, rel. 22.3

Atomic structure:
Cell lengths 4.102, 4.102, 12.552 Å; angles 90.00, 90.00, 120.00 degrees
Sites, in units of the cell vectors:
K 0.000 0.000 0.000
K 0.000 0.000 0.500
Hg 0.333 0.667 0.250
Hg 0.667 0.333 0.750
F 0.000 0.000 0.250
F 0.000 0.000 0.750
F 0.333 0.667 0.083
F 0.333 0.667 0.417
F 0.667 0.333 0.583
F 0.667 0.333 0.917

Record 3
The following is a computed powder XRD pattern of K3HgF6. It was derived from a DFT-relaxed cell (GGA-PBE, OQMD), using Cu Kα, 1.54184 Å.
Kinematic intensities with the Lorentz-polarization factor, no thermal factor.

Top 6 peaks for 5° ≤ 2θ ≤ 70°, by angle:
- d = 5.108 Å, rel. 100.0
- d = 4.321 Å, rel. 36.7
- d = 3.166 Å, rel. 77.3
- d = 3.056 Å, rel. 59.5
- d = 2.622 Å, rel. 35.9
- d = 1.785 Å, rel. 44.9

Atomic structure:
Cell lengths 6.348, 6.348, 6.348 Å; angles 122.46, 122.46, 85.80 degrees
Sites, in units of the cell vectors:
K 0.000 0.000 0.000
K 0.250 0.750 0.500
K 0.750 0.250 0.500
Hg 0.500 0.500 0.000
F 0.175 0.635 0.810
F 0.260 0.260 0.000
F 0.365 0.175 0.540
F 0.635 0.825 0.460
F 0.740 0.740 0.000
F 0.825 0.365 0.190

Record 4
The following is a computed powder XRD pattern of K2LiHgF6. It was derived from a DFT-relaxed cell (GGA-PBE, OQMD), using Cu Kα, 1.54184 Å.
Kinematic intensities with the Lorentz-polarization factor, no thermal factor.

Top 6 peaks for 5° ≤ 2θ ≤ 70°, by angle:
- d = 4.724 Å, rel. 100.0
- d = 4.056 Å, rel. 25.6
- d = 2.906 Å, rel. 53.9
- d = 2.868 Å, rel. 29.6
- d = 2.451 Å, rel. 47.3
- d = 1.884 Å, rel. 24.3

Atomic structure:
Cell lengths 5.814, 5.814, 5.814 Å; angles 120.89, 120.89, 88.47 degrees
Sites, in units of the cell vectors:
K 0.250 0.750 0.500
K 0.750 0.250 0.500
Li 0.000 0.000 0.000
Hg 0.500 0.500 0.000
F 0.195 0.722 0.917
F 0.236 0.236 0.000
F 0.278 0.195 0.474
F 0.722 0.805 0.526
F 0.764 0.764 0.000
F 0.805 0.278 0.083

Record 5
The following is a computed powder XRD pattern of K2LiHgF6. It was derived from a DFT-relaxed cell (GGA-PBE, OQMD), using Cu Kα, 1.54184 Å.
Kinematic intensities with the Lorentz-polarization factor, no thermal factor.

Top 6 peaks for 5° ≤ 2θ ≤ 70°, by angle:
- d = 4.760 Å, rel. 51.3
- d = 4.715 Å, rel. 100.0
- d = 4.122 Å, rel. 54.8
- d = 2.906 Å, rel. 57.0
- d = 2.892 Å, rel. 83.5
- d = 2.472 Å, rel. 52.8

Atomic structure:
Cell lengths 5.789, 5.789, 5.884 Å; angles 120.27, 120.27, 59.84 degrees
Sites, in units of the cell vectors:
K 0.248 0.248 0.245
K 0.752 0.752 0.755
Li 0.500 0.500 0.000
Hg 0.000 0.000 0.500
F 0.235 0.707 0.209
F 0.262 0.262 0.707
F 0.293 0.765 0.791
F 0.707 0.235 0.209
F 0.738 0.738 0.293
F 0.765 0.293 0.791

Question: Which formula does entry 1 have?
Answer: Hg2IF

Copy entry 5 word for word.
The following is a computed powder XRD pattern of K2LiHgF6. It was derived from a DFT-relaxed cell (GGA-PBE, OQMD), using Cu Kα, 1.54184 Å.
Kinematic intensities with the Lorentz-polarization factor, no thermal factor.

Top 6 peaks for 5° ≤ 2θ ≤ 70°, by angle:
- d = 4.760 Å, rel. 51.3
- d = 4.715 Å, rel. 100.0
- d = 4.122 Å, rel. 54.8
- d = 2.906 Å, rel. 57.0
- d = 2.892 Å, rel. 83.5
- d = 2.472 Å, rel. 52.8

Atomic structure:
Cell lengths 5.789, 5.789, 5.884 Å; angles 120.27, 120.27, 59.84 degrees
Sites, in units of the cell vectors:
K 0.248 0.248 0.245
K 0.752 0.752 0.755
Li 0.500 0.500 0.000
Hg 0.000 0.000 0.500
F 0.235 0.707 0.209
F 0.262 0.262 0.707
F 0.293 0.765 0.791
F 0.707 0.235 0.209
F 0.738 0.738 0.293
F 0.765 0.293 0.791